# SrPu4Rh4
Simulated XRD peak list, a wavelength of 1.5418 Å. Input: a structure optimized by DFT (PBE).
Kinematic intensities with the Lorentz-polarization factor, no thermal factor.

Largest 8 diffraction maxima, in order of falling intensity, 5° ≤ 2θ ≤ 70°:
| two_theta | I_rel | index |
| --- | --- | --- |
| 33.85 | 100 | 2 2 1 |
| 37.12 | 36 | 3 1 1 |
| 35.12 | 35 | 1 1 2 |
| 14.78 | 32 | 1 1 0 |
| 42.66 | 25 | 4 0 0 |
| 21.61 | 19 | 1 1 1 |
| 54.09 | 19 | 4 0 2 |
| 55.25 | 17 | 5 1 0 |

Structure:
a = 8.4784 Å, b = 8.4784 Å, c = 5.6496 Å
α = 90.00°, β = 90.00°, γ = 90.00°
Sites, in units of the cell vectors:
1 Sr 0.2500 0.7500 0.2500
2 Sr 0.7500 0.2500 0.7500
3 Pu 0.1335 0.1335 0.0000
4 Pu 0.1335 0.3665 0.5000
5 Pu 0.3665 0.1335 0.5000
6 Pu 0.3665 0.3665 0.0000
7 Pu 0.6335 0.6335 0.0000
8 Pu 0.6335 0.8665 0.5000
9 Pu 0.8665 0.6335 0.5000
10 Pu 0.8665 0.8665 0.0000
11 Rh 0.0817 0.5817 0.8253
12 Rh 0.0817 0.9183 0.6747
13 Rh 0.4183 0.5817 0.6747
14 Rh 0.4183 0.9183 0.8253
15 Rh 0.5817 0.0817 0.1747
16 Rh 0.5817 0.4183 0.3253
17 Rh 0.9183 0.0817 0.3253
18 Rh 0.9183 0.4183 0.1747